Entry 1:
Simulated powder X-ray diffraction pattern of Sm6HoEr12 for λ = 1.5418 Å (Cu Kα), from a structure optimized by DFT (GGA-PBE).
Kinematic intensities with the Lorentz-polarization factor, no thermal factor.

Unit cell a=11.0137 b=11.0137 c=17.3634 alpha=90.00 beta=90.00 gamma=120.00
Space group R-3m (No. 166, hexagonal axes)
Inequivalent atoms, fractional coordinates:
Sm 0.0703 0.5352 0.2673
Ho 0.0000 0.0000 0.5000
Er 0.1001 0.5501 0.9135
Er 0.1061 0.2122 0.9079

Largest 6 diffraction maxima, most intense first, 10° ≤ 2θ ≤ 80°:
- 2θ 32.12, I 100, hkl 0 3 3
- 2θ 30.90, I 21, hkl 0 0 6
- 2θ 28.07, I 20, hkl 3 0 0
- 2θ 49.67, I 19, hkl 3 3 0
- 2θ 42.23, I 18, hkl 3 0 6
- 2θ 55.73, I 15, hkl 3 0 9

Entry 2:
Simulated powder X-ray diffraction pattern of Na4Zr3CoSe8 for λ = 1.5418 Å (Cu Kα), from a structure optimized by DFT (GGA-PBE).
Kinematic intensities with the Lorentz-polarization factor, no thermal factor.

Unit cell a=7.7128 b=7.7128 c=21.2128 alpha=90.00 beta=90.00 gamma=120.00
Space group R-3m (No. 166, hexagonal axes)
Inequivalent atoms, fractional coordinates:
Na 0.0000 0.0000 0.0000
Na 0.0000 0.5000 0.0000
Zr 0.0000 0.5000 0.5000
Co 0.0000 0.0000 0.5000
Se 0.0000 0.0000 0.2422
Se 0.0077 0.5039 0.2391

Largest 6 diffraction maxima, most intense first, 10° ≤ 2θ ≤ 80°:
- 2θ 31.66, I 100, hkl 0 2 4
- 2θ 12.52, I 37, hkl 0 0 3
- 2θ 43.58, I 36, hkl 2 0 8
- 2θ 47.13, I 33, hkl 2 2 0
- 2θ 57.90, I 17, hkl 4 0 4
- 2θ 77.77, I 14, hkl 2 4 4

Entry 3:
Simulated powder X-ray diffraction pattern of LiTm3In3Rh2 for λ = 1.5418 Å (Cu Kα), from a structure optimized by DFT (GGA-PBE).
Kinematic intensities with the Lorentz-polarization factor, no thermal factor.

Unit cell a=7.6996 b=7.6996 c=3.6482 alpha=90.00 beta=90.00 gamma=120.00
Space group P-62m (No. 189)
Inequivalent atoms, fractional coordinates:
Li 0.0000 0.0000 0.0000
Tm 0.0000 0.4152 0.0000
In 0.0000 0.7422 0.5000
Rh 0.3333 0.6667 0.5000

Largest 6 diffraction maxima, most intense first, 10° ≤ 2θ ≤ 80°:
- 2θ 33.85, I 100, hkl 1 1 1
- 2θ 36.51, I 63, hkl 2 0 1
- 2θ 35.62, I 60, hkl 2 1 0
- 2θ 66.26, I 32, hkl 3 2 1
- 2θ 55.73, I 26, hkl 3 1 1
- 2θ 40.59, I 23, hkl 3 0 0